For BaLa2RhO5, the GGA-PBE geometry in Alexandria gives the theoretical X-ray powder pattern in this record (Cu Kα X-rays).

Cell and atoms:
Cell: 4.067 6.045 11.926 Å, 90.00 90.00 90.00°
Space group Immm (No. 71)
Unique sites:
Ba: 0.000 0.000 0.000 [2 per cell]
La: 0.000 0.500 0.202 [4 per cell]
Rh: 0.000 0.000 0.500 [2 per cell]
O: 0.000 0.243 0.353 [8 per cell]
O: 0.000 0.500 0.000 [2 per cell]

The 8 most intense peaks (10 to 90 degrees two-theta), by angle:
d 3.321, intensity 18, hkl 0 1 3
d 3.023, intensity 29, hkl 0 2 0
d 2.981, intensity 11, hkl 0 0 4
d 2.937, intensity 100, hkl 1 1 2
d 2.123, intensity 16, hkl 0 2 4
d 2.033, intensity 15, hkl 2 0 0
d 1.728, intensity 21, hkl 1 3 2
d 1.687, intensity 11, hkl 2 2 0